[1]
For Cu2TcPt3, a crystal structure in Alexandria, relaxed with GGA-PBE gives the computed powder diffractogram in this record (Cu Kα (weighted mean of Kα1 and Kα2)).

Peak list (10 most intense, 10 to 90 degrees two-theta, by angle)
23.9 deg, I = 16
32.3 deg, I = 16
40.6 deg, I = 100
46.4 deg, I = 34
49.0 deg, I = 14
67.6 deg, I = 11
69.7 deg, I = 20
82.0 deg, I = 26
85.9 deg, I = 11
87.9 deg, I = 11

Cell and atoms:
```
6
Lattice="2.7700 0.0000 0.0000 0.0000 2.7700 0.0000 0.0000 0.0000 11.1528" Properties=species:S:1:pos:R:3 pbc="T T T"
Cu 0.0000 0.0000 1.8040
Cu 0.0000 0.0000 9.3488
Tc 0.0000 0.0000 5.5764
Pt 1.3850 1.3850 0.0000
Pt 1.3850 1.3850 3.6775
Pt 1.3850 1.3850 7.4754
```



[2]
For Na4ZnBi2, a crystal structure in Alexandria, relaxed with GGA-PBE gives the computed powder diffractogram in this record (Cu Kα (weighted mean of Kα1 and Kα2)).

Peak list (10 most intense, 10 to 90 degrees two-theta, by angle)
18.8 deg, I = 100
19.2 deg, I = 26
19.6 deg, I = 24
22.5 deg, I = 23
24.5 deg, I = 20
32.4 deg, I = 61
37.4 deg, I = 35
37.7 deg, I = 18
37.9 deg, I = 29
40.4 deg, I = 18

Cell and atoms:
```
7
Lattice="2.7655 1.5967 9.2645 -2.7655 1.5967 9.2645 0.0000 -3.1934 9.2645" Properties=species:S:1:pos:R:3 pbc="T T T"
Na 0.0000 0.0000 2.9001
Na 0.0000 0.0000 8.0095
Na 0.0000 0.0000 19.7840
Na 0.0000 0.0000 24.8934
Zn 0.0000 0.0000 13.8967
Bi 0.0000 0.0000 11.2990
Bi 0.0000 0.0000 16.4944
```



[3]
For Na3Tl2Ga, a crystal structure in Alexandria, relaxed with GGA-PBE gives the computed powder diffractogram in this record (Cu Kα (weighted mean of Kα1 and Kα2)).

Peak list (10 most intense, 10 to 90 degrees two-theta, by angle)
18.2 deg, I = 100
26.6 deg, I = 37
26.9 deg, I = 37
32.5 deg, I = 88
32.7 deg, I = 86
36.9 deg, I = 59
39.4 deg, I = 28
41.5 deg, I = 19
43.7 deg, I = 22
55.1 deg, I = 22

Cell and atoms:
```
12
Lattice="4.5725 0.0000 0.0000 0.0000 9.7329 0.0000 -2.2226 0.0000 7.3008" Properties=species:S:1:pos:R:3 pbc="T T T"
Na 0.0000 2.3557 0.0000
Na 0.0000 7.3772 0.0000
Na 0.0429 2.3840 4.8940
Na 0.0429 7.3489 4.8940
Na 2.3070 2.3840 2.4068
Na 2.3070 7.3489 2.4068
Tl 0.0185 4.8664 2.4502
Tl 2.2863 0.0000 0.0000
Tl 2.2863 4.8664 0.0000
Tl 2.3314 4.8664 4.8505
Ga 0.0295 0.0000 2.9504
Ga 2.3204 0.0000 4.3503
```



[4]
For Pm2Tl3Zn, a crystal structure in Alexandria, relaxed with GGA-PBE gives the computed powder diffractogram in this record (Cu Kα (weighted mean of Kα1 and Kα2)).

Peak list (10 most intense, 10 to 90 degrees two-theta, by angle)
23.7 deg, I = 17
31.4 deg, I = 47
31.8 deg, I = 100
36.0 deg, I = 75
36.8 deg, I = 38
48.4 deg, I = 17
49.2 deg, I = 27
61.8 deg, I = 32
62.4 deg, I = 16
65.8 deg, I = 15

Cell and atoms:
```
6
Lattice="3.7587 0.0000 0.0000 0.0000 4.8825 0.0000 0.0000 0.0000 8.7122" Properties=species:S:1:pos:R:3 pbc="T T T"
Pm 0.0000 0.0000 0.0000
Pm 0.0000 2.4412 4.2397
Tl 1.8794 0.0000 5.5479
Tl 1.8794 2.4412 1.5377
Tl 1.8794 2.4412 7.2371
Zn 1.8794 0.0000 2.7834
```



[5]
For K2GaO3, a crystal structure in Alexandria, relaxed with GGA-PBE gives the computed powder diffractogram in this record (Cu Kα (weighted mean of Kα1 and Kα2)).

Peak list (10 most intense, 10 to 90 degrees two-theta, by angle)
14.3 deg, I = 35
15.8 deg, I = 48
26.7 deg, I = 100
28.9 deg, I = 87
31.2 deg, I = 95
31.9 deg, I = 75
42.1 deg, I = 43
44.0 deg, I = 43
55.4 deg, I = 41
57.6 deg, I = 37

Cell and atoms:
```
12
Lattice="5.6146 -3.6976 0.0000 5.6146 3.6976 0.0000 0.0000 0.0000 5.6053" Properties=species:S:1:pos:R:3 pbc="T T T"
K 3.8512 2.4968 2.8026
K 7.3780 2.4968 2.8026
K 3.8512 -2.4968 0.0000
K 7.3780 -2.4968 0.0000
Ga 5.6146 0.9715 0.2446
Ga 5.6146 -0.9715 3.0472
O 4.2664 2.2234 5.5134
O 6.9628 2.2234 5.5134
O 5.6146 0.6029 2.0848
O 5.6146 -0.6029 4.8875
O 4.2664 -2.2234 2.7108
O 6.9628 -2.2234 2.7108
```



[6]
For LiLa2Ga3Au12, a crystal structure in Alexandria, relaxed with GGA-PBE gives the computed powder diffractogram in this record (Cu Kα (weighted mean of Kα1 and Kα2)).

Peak list (10 most intense, 10 to 90 degrees two-theta, by angle)
20.6 deg, I = 14
30.0 deg, I = 100
41.9 deg, I = 58
44.0 deg, I = 49
52.5 deg, I = 22
62.4 deg, I = 18
69.3 deg, I = 19
72.3 deg, I = 16
76.6 deg, I = 10
78.1 deg, I = 19

Cell and atoms:
```
18
Lattice="4.3078 2.4871 6.5718 -4.3078 2.4871 6.5718 0.0000 -4.9742 6.5718" Properties=species:S:1:pos:R:3 pbc="T T T"
Li 0.0000 0.0000 0.0000
La 0.0000 0.0000 7.4672
La 0.0000 0.0000 12.2482
Ga -4.3078 0.0000 9.8577
Ga -2.1539 1.2435 3.2859
Ga 2.1539 1.2435 3.2859
Au -2.2054 -1.2733 9.0937
Au 0.0000 -2.5241 5.8519
Au -2.1859 1.2621 5.8519
Au -2.1859 -1.2621 13.8635
Au 0.0000 -2.5466 10.6217
Au -2.2054 1.2733 10.6217
Au 2.2054 -1.2733 9.0937
Au 0.0000 2.5466 9.0937
Au 2.1859 1.2621 5.8519
Au 2.1859 -1.2620 13.8635
Au 0.0000 2.5241 13.8635
Au 2.2054 1.2733 10.6217
```



[7]
For Ba4BiPbO, a crystal structure in Alexandria, relaxed with GGA-PBE gives the computed powder diffractogram in this record (Cu Kα (weighted mean of Kα1 and Kα2)).

Peak list (10 most intense, 10 to 90 degrees two-theta, by angle)
23.4 deg, I = 30
25.2 deg, I = 56
28.3 deg, I = 26
28.9 deg, I = 22
30.2 deg, I = 100
33.3 deg, I = 62
44.3 deg, I = 31
47.8 deg, I = 23
56.5 deg, I = 15
57.6 deg, I = 33

Cell and atoms:
```
14
Lattice="3.8045 -9.4456 0.0000 3.8045 9.4456 0.0000 0.0000 0.0000 7.6023" Properties=species:S:1:pos:R:3 pbc="T T T"
Ba 1.9022 4.7228 0.0000
Ba 1.9022 4.7228 3.8012
Ba 3.8045 8.0735 5.7017
Ba 3.8045 1.6525 5.7017
Ba 1.9022 -4.7228 0.0000
Ba 1.9022 -4.7228 3.8012
Ba 3.8045 -1.6525 1.9006
Ba 3.8045 -8.0735 1.9006
Bi 3.8045 7.2961 1.9006
Bi 3.8045 -7.2961 5.7017
Pb 3.8045 2.1287 1.9006
Pb 3.8045 -2.1287 5.7017
O 3.8045 4.4121 5.7017
O 3.8045 -4.4121 1.9006
```



[8]
For CaAg2Au, a crystal structure in Alexandria, relaxed with GGA-PBE gives the computed powder diffractogram in this record (Cu Kα (weighted mean of Kα1 and Kα2)).

Peak list (10 most intense, 10 to 90 degrees two-theta, by angle)
13.9 deg, I = 39
34.9 deg, I = 100
37.3 deg, I = 78
37.7 deg, I = 91
49.5 deg, I = 26
50.8 deg, I = 17
63.8 deg, I = 32
64.7 deg, I = 30
69.3 deg, I = 20
73.6 deg, I = 16

Cell and atoms:
```
4
Lattice="3.5944 0.0000 0.0000 0.0000 3.6820 0.0000 0.0000 0.0000 6.3861" Properties=species:S:1:pos:R:3 pbc="T T T"
Ca 0.0000 0.0000 0.0000
Ag 0.0000 0.0000 3.1623
Ag 1.7972 1.8410 4.5079
Au 1.7972 1.8410 1.6219
```



[9]
For ZrCd2GaN, a crystal structure in Alexandria, relaxed with GGA-PBE gives the computed powder diffractogram in this record (Cu Kα (weighted mean of Kα1 and Kα2)).

Peak list (10 most intense, 10 to 90 degrees two-theta, by angle)
16.9 deg, I = 62
18.6 deg, I = 61
31.5 deg, I = 100
34.1 deg, I = 49
37.7 deg, I = 74
41.6 deg, I = 26
51.8 deg, I = 57
54.4 deg, I = 24
64.3 deg, I = 23
65.8 deg, I = 27

Cell and atoms:
```
5
Lattice="4.7675 0.0000 0.0000 0.0000 4.7675 0.0000 0.0000 0.0000 5.2605" Properties=species:S:1:pos:R:3 pbc="T T T"
Zr 0.0000 0.0000 0.0000
Cd 0.0000 2.3838 2.6302
Cd 2.3838 0.0000 2.6302
Ga 0.0000 0.0000 2.6302
N 2.3838 2.3838 0.0000
```



[10]
For K2RbZrI8, a crystal structure in Alexandria, relaxed with GGA-PBE gives the computed powder diffractogram in this record (Cu Kα (weighted mean of Kα1 and Kα2)).

Peak list (10 most intense, 10 to 90 degrees two-theta, by angle)
13.6 deg, I = 80
19.7 deg, I = 53
23.4 deg, I = 100
23.5 deg, I = 78
25.5 deg, I = 69
25.6 deg, I = 59
32.4 deg, I = 62
32.5 deg, I = 62
32.6 deg, I = 64
41.7 deg, I = 54

Cell and atoms:
```
12
Lattice="6.9501 0.0000 0.0000 0.0982 8.1311 0.0000 0.0373 0.0093 10.8251" Properties=species:S:1:pos:R:3 pbc="T T T"
K 0.1195 8.1305 2.3891
K 6.9661 0.0099 8.4360
Rb 3.5428 4.0702 5.4126
Zr 3.5241 4.0655 0.0000
I 1.8213 3.0529 2.0944
I 1.9046 8.0359 5.4132
I 1.8598 3.0375 8.7425
I 2.1246 6.5735 10.8088
I 4.9610 1.5669 0.0163
I 5.2258 5.1029 2.0826
I 5.1809 0.1045 5.4119
I 5.2643 5.0874 8.7308
```



[11]
For NaN4, a crystal structure in Alexandria, relaxed with GGA-PBE gives the computed powder diffractogram in this record (Cu Kα (weighted mean of Kα1 and Kα2)).

Peak list (10 most intense, 10 to 90 degrees two-theta, by angle)
20.2 deg, I = 9
22.6 deg, I = 27
23.9 deg, I = 25
29.7 deg, I = 24
36.2 deg, I = 100
36.9 deg, I = 8
40.9 deg, I = 27
44.2 deg, I = 20
61.8 deg, I = 11
71.4 deg, I = 8

Cell and atoms:
```
5
Lattice="-2.0508 2.2067 4.3868 2.0508 -2.2067 4.3868 2.0508 2.2067 -4.3868" Properties=species:S:1:pos:R:3 pbc="T T T"
Na 0.0000 0.0000 0.0000
N 2.0508 0.0000 1.6369
N 2.0508 0.0000 2.7800
N 0.0000 2.2067 1.6068
N 0.0000 2.2067 2.7499
```



[12]
For Pd2Pt8Rh, a crystal structure in Alexandria, relaxed with GGA-PBE gives the computed powder diffractogram in this record (Cu Kα (weighted mean of Kα1 and Kα2)).

Peak list (10 most intense, 10 to 90 degrees two-theta, by angle)
22.0 deg, I = 2
25.9 deg, I = 1
26.8 deg, I = 2
39.5 deg, I = 100
45.9 deg, I = 33
46.0 deg, I = 16
66.9 deg, I = 32
80.5 deg, I = 26
80.7 deg, I = 13
85.0 deg, I = 11

Cell and atoms:
```
11
Lattice="7.1317 -1.9738 0.0000 7.1317 1.9738 0.0000 -1.6492 0.0000 6.0352" Properties=species:S:1:pos:R:3 pbc="T T T"
Pd 3.0191 0.0000 0.8223
Pd 9.5951 0.0000 5.2129
Pt 0.2839 0.0000 1.3700
Pt 0.8036 0.0000 4.0974
Pt 3.5769 0.0000 3.5620
Pt 5.7609 0.0000 0.3088
Pt 6.8532 0.0000 5.7264
Pt 9.0373 0.0000 2.4732
Pt 11.8105 0.0000 1.9378
Pt 12.3303 0.0000 4.6652
Rh 6.3071 0.0000 3.0176
```



[13]
For PmPu2Pd9, a crystal structure in Alexandria, relaxed with GGA-PBE gives the computed powder diffractogram in this record (Cu Kα (weighted mean of Kα1 and Kα2)).

Peak list (10 most intense, 10 to 90 degrees two-theta, by angle)
21.4 deg, I = 10
30.4 deg, I = 8
37.5 deg, I = 100
43.5 deg, I = 49
49.0 deg, I = 5
54.0 deg, I = 4
63.3 deg, I = 32
67.6 deg, I = 3
75.9 deg, I = 38
80.0 deg, I = 11

Cell and atoms:
```
12
Lattice="4.1556 0.0000 0.0000 0.0000 4.1556 0.0000 0.0000 0.0000 12.4773" Properties=species:S:1:pos:R:3 pbc="T T T"
Pm 0.0000 0.0000 0.0000
Pu 0.0000 0.0000 4.1701
Pu 0.0000 0.0000 8.3072
Pd 0.0000 2.0778 2.1334
Pd 0.0000 2.0778 6.2386
Pd 0.0000 2.0778 10.3438
Pd 2.0778 0.0000 2.1334
Pd 2.0778 0.0000 6.2386
Pd 2.0778 0.0000 10.3438
Pd 2.0778 2.0778 0.0000
Pd 2.0778 2.0778 4.1736
Pd 2.0778 2.0778 8.3037
```



[14]
For LaZn2Ga, a crystal structure in Alexandria, relaxed with GGA-PBE gives the computed powder diffractogram in this record (Cu Kα (weighted mean of Kα1 and Kα2)).

Peak list (10 most intense, 10 to 90 degrees two-theta, by angle)
29.6 deg, I = 68
31.0 deg, I = 27
34.8 deg, I = 100
35.0 deg, I = 72
40.9 deg, I = 23
42.3 deg, I = 72
42.9 deg, I = 22
55.9 deg, I = 50
61.4 deg, I = 23
72.6 deg, I = 17

Cell and atoms:
```
8
Lattice="4.2730 0.0000 0.0000 0.0000 4.2730 0.0000 0.0000 0.0000 9.6826" Properties=species:S:1:pos:R:3 pbc="T T T"
La 1.0682 1.0682 2.3509
La 3.2047 3.2047 7.3317
Zn 1.0682 1.0682 8.9569
Zn 1.0682 3.2047 4.8413
Zn 3.2047 1.0682 4.8413
Zn 3.2047 3.2047 0.7257
Ga 1.0682 1.0682 6.3294
Ga 3.2047 3.2047 3.3532
```